This entry pairs a crystal structure of Y2GeO5 with its simulated powder diffractogram. Radiation: Cu Kα X-rays. Structure: the PBE geometry in Alexandria.

Structural model:
```
data_Y2GeO5
_cell_length_a 9.444
_cell_length_b 6.964
_cell_length_c 6.859
_cell_angle_alpha 90.00
_cell_angle_beta 99.13
_cell_angle_gamma 90.00
_space_group_name_H-M_alt 'P 1 21/c 1'
_space_group_IT_number 14
loop_
_space_group_symop_operation_xyz
'x,y,z'
'-x,-y,-z'
'-x,y+1/2,-z+1/2'
'x,-y+1/2,z+1/2'
loop_
_atom_site_label
_atom_site_fract_x
_atom_site_fract_y
_atom_site_fract_z
Y1 0.032 0.118 0.228
Y2 0.348 0.142 0.984
Ge1 0.299 0.602 0.985
O1 0.104 0.121 0.917
O2 0.109 0.647 0.967
O3 0.283 0.068 0.282
O4 0.358 0.072 0.665
O5 0.403 0.690 0.489
```

Principal peaks in the range 15° ≤ 2θ ≤ 90°, in order of rising 2θ:
two_theta	Rel. int.
24.93	19
26.54	43
28.72	62
30.06	19
31.09	100
33.56	33
47.70	29
50.70	25